ScAlGa: theoretical powder diffraction line list (copper Kα), based on a DFT-relaxed cell (GGA-PBE, Alexandria).
Kinematic intensities with the Lorentz-polarization factor, no thermal factor.

Largest 12 diffraction maxima, by intensity, 2θ = 10–90°:
| 2θ (°) | intensity | (hkl) |
| --- | --- | --- |
| 36.6 | 100.0 | 0 2 2 |
| 40.9 | 56.3 | 1 0 3 |
| 72.9 | 28.1 | 2 4 0 |
| 41.0 | 27.9 | 2 0 0 |
| 24.5 | 21.5 | 1 1 0 |
| 56.1 | 20.5 | 2 2 2 |
| 71.7 | 16.5 | 1 2 5 |
| 50.2 | 14.5 | 2 2 0 |
| 27.8 | 11.9 | 0 2 0 |
| 18.0 | 11.6 | 0 1 1 |
| 71.8 | 10.3 | 3 2 1 |
| 57.4 | 9.9 | 0 4 0 |

Structure:
```
ScAlGa
1.0
4.3995 0.0000 0.0000
0.0000 6.4232 0.0000
0.0000 0.0000 7.6444
Sc Al Ga
4 4 4
Direct
0.0000 0.2483 0.0000
0.0000 0.7517 0.0000
0.5000 0.2517 0.5000
0.5000 0.7483 0.5000
0.0000 0.0000 0.3323
0.0000 0.0000 0.6677
0.5000 0.5000 0.1677
0.5000 0.5000 0.8323
0.0000 0.5000 0.3332
0.0000 0.5000 0.6668
0.5000 0.0000 0.1668
0.5000 0.0000 0.8332
```